This entry pairs a crystal structure of CsPbWF6 with its calculated powder diffraction line list. Radiation: CuKα. Structure: a crystal structure in Alexandria, relaxed with GGA+U.

Structural model:
a = 8.0373 Å, b = 8.0373 Å, c = 8.0373 Å
α = 120.40°, β = 117.94°, γ = 91.46°
Fractional positions:
1 Cs 0.3538 0.1038 0.2500
2 Cs 0.6462 0.8962 0.7500
3 Pb 0.0000 0.5000 0.5000
4 Pb 0.5000 0.5000 0.0000
5 W 0.0000 0.0000 0.5000
6 W 0.0000 0.5000 0.0000
7 F 0.0467 0.3470 0.1585
8 F 0.0467 0.8883 0.6998
9 F 0.0641 0.3141 0.7500
10 F 0.3115 0.1117 0.6585
11 F 0.3115 0.6530 0.1998
12 F 0.3622 0.6122 0.7500
13 F 0.6378 0.3878 0.2500
14 F 0.6885 0.3470 0.8002
15 F 0.6885 0.8883 0.3415
16 F 0.9359 0.6859 0.2500
17 F 0.9533 0.1117 0.3002
18 F 0.9533 0.6530 0.8415

Largest 8 diffraction maxima, in order of rising 2θ, 10° ≤ 2θ ≤ 80°:
13.28 deg, d = 6.666 Å, rel. 50; 25.49 deg, d = 3.495 Å, rel. 100; 26.01 deg, d = 3.426 Å, rel. 95; 26.14 deg, d = 3.409 Å, rel. 54; 26.75 deg, d = 3.333 Å, rel. 77; 27.41 deg, d = 3.254 Å, rel. 86; 40.57 deg, d = 2.224 Å, rel. 44; 45.15 deg, d = 2.008 Å, rel. 88